Starting from a DFT-relaxed cell (GGA-PBE, Alexandria), the powder diffraction line list of KRb14Na was simulated for Cu Ka.
Intensities are scaled so that the largest is 100.

Atomic structure:
```
16
Lattice="7.2103 -7.2154 0.0000 7.2103 7.2154 0.0000 0.0000 0.0000 13.1834" Properties=species:S:1:pos:R:3 pbc="T T T"
K 0.0000 0.0000 0.0000
Rb 0.0000 0.0000 6.5917
Rb 3.6052 3.6077 0.0000
Rb 3.6052 3.6077 6.5917
Rb 3.6886 0.0000 3.1016
Rb 3.6886 0.0000 10.0818
Rb 7.2103 3.5232 3.1012
Rb 7.2103 3.5232 10.0822
Rb 3.6052 -3.6077 0.0000
Rb 3.6052 -3.6077 6.5917
Rb 7.2103 0.0000 6.5917
Rb 7.2103 -3.5232 3.1012
Rb 7.2103 -3.5232 10.0822
Rb 10.7320 0.0000 3.1016
Rb 10.7320 0.0000 10.0818
Na 7.2103 0.0000 0.0000
```

Largest 6 diffraction maxima, sorted by position, 15° ≤ 2θ ≤ 90°:
| 2theta | I (rel.) |
| --- | --- |
| 22.04 | 100 |
| 24.69 | 38 |
| 36.95 | 24 |
| 41.91 | 35 |
| 44.93 | 26 |
| 58.32 | 17 |

---

Starting from a DFT-relaxed cell (GGA-PBE, Alexandria), the powder diffraction line list of BaSbPPd2 was simulated for Cu Ka.
Intensities are scaled so that the largest is 100.

Atomic structure:
```
5
Lattice="4.7367 0.0000 0.0000 0.0000 4.7367 0.0000 0.0000 0.0000 5.5152" Properties=species:S:1:pos:R:3 pbc="T T T"
Ba 0.0000 0.0000 0.0000
Sb 2.3683 2.3683 0.0000
P 2.3683 2.3683 2.7576
Pd 0.0000 2.3683 2.7576
Pd 2.3683 0.0000 2.7576
```

Largest 6 diffraction maxima, sorted by position, 15° ≤ 2θ ≤ 90°:
| 2theta | I (rel.) |
| --- | --- |
| 31.24 | 100 |
| 32.47 | 29 |
| 37.99 | 38 |
| 50.82 | 32 |
| 57.16 | 18 |
| 64.46 | 24 |

---

Starting from a DFT-relaxed cell (GGA-PBE, Alexandria), the powder diffraction line list of K6GeSb4 was simulated for Cu Ka.
Intensities are scaled so that the largest is 100.

Atomic structure:
```
22
Lattice="11.4777 0.0000 0.0000 -5.7389 9.9400 0.0000 0.0000 0.0000 7.9361" Properties=species:S:1:pos:R:3 pbc="T T T"
K -2.5810 5.1365 0.0000
K 0.0000 2.9801 2.1637
K -3.1580 8.4499 2.1637
K 2.5808 1.4901 6.1318
K 2.5810 5.1365 0.0000
K 0.0000 9.6069 0.0000
K 5.7389 0.3331 3.9681
K 3.1579 4.8035 3.9681
K 3.1580 8.4499 2.1637
K 8.8969 1.4901 6.1318
K 5.7389 6.9599 6.1318
K 8.3198 4.8035 3.9681
Ge 0.0000 6.6267 5.1735
Ge 5.7389 3.3133 1.2054
Sb 0.0000 3.9686 5.7239
Sb -2.3020 7.9557 5.7239
Sb 0.0000 6.6267 2.4781
Sb 3.4369 1.9843 1.7559
Sb 2.3020 7.9557 5.7239
Sb 5.7389 3.3133 6.4461
Sb 8.0408 1.9843 1.7559
Sb 5.7389 5.9714 1.7559
```

Largest 6 diffraction maxima, sorted by position, 15° ≤ 2θ ≤ 90°:
| 2theta | I (rel.) |
| --- | --- |
| 17.85 | 40 |
| 21.09 | 54 |
| 22.41 | 42 |
| 28.79 | 96 |
| 29.21 | 63 |
| 31.17 | 100 |

---

Starting from a DFT-relaxed cell (GGA-PBE, Alexandria), the powder diffraction line list of RbBe2P3O10 was simulated for Cu Ka.
Intensities are scaled so that the largest is 100.

Atomic structure:
```
32
Lattice="6.1574 -4.4190 0.0000 6.1574 4.4190 0.0000 -4.1072 0.0000 8.0787" Properties=species:S:1:pos:R:3 pbc="T T T"
Rb 3.0770 2.6618 6.0590
Rb 5.1306 -2.6618 2.0197
Be 2.7504 0.4082 0.5295
Be 0.6968 -0.4082 4.5688
Be 7.5108 0.4082 3.5099
Be 5.4572 -0.4082 7.5492
P -0.8097 1.6190 6.0496
P 1.2439 -1.6190 2.0102
P 5.1306 1.0817 2.0197
P 3.0770 -1.0817 6.0590
P 6.9637 1.6190 6.0685
P 9.0173 -1.6190 2.0291
O 2.0884 1.6790 1.3362
O -0.0612 0.9843 4.8933
O -1.4333 0.6077 7.0046
O 4.1249 2.0563 2.8005
O 0.6203 -0.6077 2.9653
O 1.9925 -0.9843 0.8540
O 6.1364 2.0563 1.2389
O 4.3506 0.2753 1.0089
O 0.0348 -1.6790 5.3756
O 2.2969 -0.2753 5.0483
O 5.9107 0.2753 3.0305
O 8.1729 1.6790 2.7031
O 3.8571 -0.2753 7.0698
O 2.0713 -2.0563 6.8398
O 6.2152 0.9843 7.2247
O 7.5873 0.6077 5.1135
O 4.0827 -2.0563 5.2782
O 9.6409 -0.6077 1.0741
O 8.2688 -0.9843 3.1854
O 6.1192 -1.6790 6.7425
```

Largest 6 diffraction maxima, sorted by position, 15° ≤ 2θ ≤ 90°:
| 2theta | I (rel.) |
| --- | --- |
| 22.01 | 100 |
| 23.90 | 71 |
| 25.07 | 65 |
| 29.96 | 63 |
| 31.00 | 31 |
| 32.69 | 64 |

---

Starting from a DFT-relaxed cell (GGA-PBE, Alexandria), the powder diffraction line list of Tb6Pr2Dy3Tm was simulated for Cu Ka.
Intensities are scaled so that the largest is 100.

Atomic structure:
```
12
Lattice="3.0957 -5.3587 0.0000 3.0957 5.3587 0.0000 -2.0543 0.0000 11.6787" Properties=species:S:1:pos:R:3 pbc="T T T"
Tb 0.0043 1.7788 8.7912
Tb 1.0245 0.0000 2.8823
Tb 0.0043 -1.7788 8.7912
Tb 4.1328 1.7788 2.8875
Tb 3.1126 0.0000 8.7964
Tb 4.1328 -1.7788 2.8875
Pr 2.0686 1.7839 5.8393
Pr 2.0686 -1.7839 5.8393
Dy 3.0957 3.5757 0.0000
Dy 3.0957 0.0000 0.0000
Dy 3.0957 -3.5757 0.0000
Tm -1.0271 0.0000 5.8393
```

Largest 6 diffraction maxima, sorted by position, 15° ≤ 2θ ≤ 90°:
| 2theta | I (rel.) |
| --- | --- |
| 30.63 | 100 |
| 35.52 | 51 |
| 51.11 | 36 |
| 60.78 | 32 |
| 83.32 | 15 |
| 86.00 | 14 |

---

Starting from a DFT-relaxed cell (GGA-PBE, Alexandria), the powder diffraction line list of SmTl2Br3Cl3 was simulated for Cu Ka.
Intensities are scaled so that the largest is 100.

Atomic structure:
```
9
Lattice="8.5135 0.0000 0.0000 -4.2567 7.3729 0.0000 0.0000 0.0000 4.0307" Properties=species:S:1:pos:R:3 pbc="T T T"
Sm 0.0000 0.0000 0.0000
Tl 0.0000 4.9152 2.0153
Tl 4.2567 2.4576 2.0153
Br -1.7187 2.9769 0.0000
Br 3.4374 0.0000 0.0000
Br 2.5380 4.3960 0.0000
Cl -3.2858 5.6912 2.0153
Cl 0.9709 1.6817 2.0153
Cl 6.5716 0.0000 2.0153
```

Largest 6 diffraction maxima, sorted by position, 15° ≤ 2θ ≤ 90°:
| 2theta | I (rel.) |
| --- | --- |
| 20.87 | 100 |
| 30.54 | 70 |
| 32.93 | 97 |
| 36.56 | 61 |
| 39.31 | 62 |
| 59.27 | 64 |

---

Starting from a DFT-relaxed cell (GGA-PBE, Alexandria), the powder diffraction line list of K2AlAuI was simulated for Cu Ka.
Intensities are scaled so that the largest is 100.

Atomic structure:
```
5
Lattice="6.6935 0.0000 0.0000 0.0000 6.6935 0.0000 0.0000 0.0000 4.7511" Properties=species:S:1:pos:R:3 pbc="T T T"
K 0.0000 3.3467 0.0000
K 3.3467 0.0000 0.0000
Al 0.0000 0.0000 0.0000
Au 0.0000 0.0000 2.3755
I 3.3467 3.3467 2.3755
```

Largest 6 diffraction maxima, sorted by position, 15° ≤ 2θ ≤ 90°:
| 2theta | I (rel.) |
| --- | --- |
| 18.73 | 44 |
| 26.60 | 100 |
| 38.02 | 15 |
| 42.71 | 14 |
| 46.96 | 42 |
| 75.03 | 14 |

---

Starting from a DFT-relaxed cell (GGA-PBE, Alexandria), the powder diffraction line list of La4PdRu2 was simulated for Cu Ka.
Intensities are scaled so that the largest is 100.

Atomic structure:
```
14
Lattice="4.3912 -6.4694 0.0000 4.3912 6.4694 0.0000 -4.3434 0.0000 6.4509" Properties=species:S:1:pos:R:3 pbc="T T T"
La 2.2196 6.4340 3.2254
La -1.3016 2.4500 5.6126
La 2.2743 3.1984 4.8946
La 0.8701 -2.4500 2.3872
La 3.0642 0.7696 2.3948
La 0.8925 -0.7696 5.6202
La 4.4459 -3.1984 1.6691
La 4.3912 -6.4340 0.0000
Pd 5.9275 1.5911 0.8483
Pd 3.7558 -1.5911 4.0738
Ru 2.6362 4.2492 1.3791
Ru 0.4868 0.9545 3.2975
Ru 2.6584 -0.9545 0.0720
Ru 0.4645 -4.2492 4.6046
```

Largest 6 diffraction maxima, sorted by position, 15° ≤ 2θ ≤ 90°:
| 2theta | I (rel.) |
| --- | --- |
| 30.95 | 100 |
| 31.03 | 66 |
| 31.13 | 63 |
| 32.06 | 47 |
| 32.16 | 48 |
| 36.88 | 50 |

---

Starting from a DFT-relaxed cell (GGA-PBE, Alexandria), the powder diffraction line list of TaAg2HgS4 was simulated for Cu Ka.
Intensities are scaled so that the largest is 100.

Atomic structure:
```
8
Lattice="0.0000 4.3559 5.3404 4.3478 0.0000 5.3404 4.3478 4.3559 0.0000" Properties=species:S:1:pos:R:3 pbc="T T T"
Ta 0.0000 0.0000 0.0000
Ag 2.1739 2.1780 2.6650
Ag 6.5218 6.5339 8.0054
Hg 4.3478 4.3559 5.3295
S 4.3478 1.8870 4.0157
S 6.8077 4.3559 6.6642
S 4.3478 6.8249 4.0157
S 1.8880 4.3559 6.6642
```

Largest 6 diffraction maxima, sorted by position, 15° ≤ 2θ ≤ 90°:
| 2theta | I (rel.) |
| --- | --- |
| 26.42 | 100 |
| 29.02 | 24 |
| 41.50 | 20 |
| 44.95 | 34 |
| 49.87 | 34 |
| 55.80 | 12 |

---

Starting from a DFT-relaxed cell (GGA-PBE, Alexandria), the powder diffraction line list of TiAlAg was simulated for Cu Ka.
Intensities are scaled so that the largest is 100.

Atomic structure:
```
12
Lattice="3.9955 0.0000 0.0000 0.0000 12.7482 0.0000 0.0000 0.0000 3.9084" Properties=species:S:1:pos:R:3 pbc="T T T"
Ti 0.0000 0.0000 0.0000
Ti 0.0000 6.3741 1.9542
Ti 1.9978 0.0000 1.9542
Ti 1.9978 6.3741 0.0000
Al 0.0000 2.1041 1.9542
Al 0.0000 10.6441 1.9542
Al 1.9978 4.2700 1.9542
Al 1.9978 8.4782 1.9542
Ag 0.0000 4.2319 0.0000
Ag 0.0000 8.5163 0.0000
Ag 1.9978 2.1422 0.0000
Ag 1.9978 10.6060 0.0000
```

Largest 6 diffraction maxima, sorted by position, 15° ≤ 2θ ≤ 90°:
| 2theta | I (rel.) |
| --- | --- |
| 22.75 | 21 |
| 30.71 | 20 |
| 38.56 | 100 |
| 42.55 | 19 |
| 45.40 | 15 |
| 46.47 | 14 |

---

Repeat the seventh record exactly.
Starting from a DFT-relaxed cell (GGA-PBE, Alexandria), the powder diffraction line list of K2AlAuI was simulated for Cu Ka.
Intensities are scaled so that the largest is 100.

Atomic structure:
```
5
Lattice="6.6935 0.0000 0.0000 0.0000 6.6935 0.0000 0.0000 0.0000 4.7511" Properties=species:S:1:pos:R:3 pbc="T T T"
K 0.0000 3.3467 0.0000
K 3.3467 0.0000 0.0000
Al 0.0000 0.0000 0.0000
Au 0.0000 0.0000 2.3755
I 3.3467 3.3467 2.3755
```

Largest 6 diffraction maxima, sorted by position, 15° ≤ 2θ ≤ 90°:
| 2theta | I (rel.) |
| --- | --- |
| 18.73 | 44 |
| 26.60 | 100 |
| 38.02 | 15 |
| 42.71 | 14 |
| 46.96 | 42 |
| 75.03 | 14 |